The following is a theoretical X-ray diffraction stick pattern of RhC4NCl4O2. It was derived from the PBE geometry in the Materials Project, using a wavelength of 1.5418 Å.

Largest 6 diffraction maxima, low angle first, 2θ from 10° to 80°:
2theta	I (rel.)
17.36	88.4
19.25	100.0
19.87	98.9
20.82	74.2
27.97	55.2
34.53	41.6

Crystal structure
Lattice parameters (Å, degrees): 6.379 8.532 9.224 90.00 90.00 90.00
Positions (direct):
Rh 0.250 0.250 0.050
Rh 0.750 0.750 0.950
C 0.071 0.750 0.539
C 0.250 0.645 0.561
C 0.250 0.855 0.561
C 0.429 0.750 0.539
C 0.571 0.250 0.461
C 0.750 0.145 0.439
C 0.750 0.355 0.439
C 0.929 0.250 0.461
N 0.250 0.750 0.414
N 0.750 0.250 0.586
Cl 0.250 0.250 0.466
Cl 0.250 0.250 0.809
Cl 0.250 0.528 0.058
Cl 0.250 0.972 0.058
Cl 0.750 0.028 0.942
Cl 0.750 0.472 0.942
Cl 0.750 0.750 0.191
Cl 0.750 0.750 0.534
O 0.008 0.750 0.890
O 0.492 0.750 0.890
O 0.508 0.250 0.110
O 0.992 0.250 0.110